Record 1
Calculated powder XRD pattern
Compound: UGaAu
Radiation: Cu Ka
Structure: a DFT-relaxed cell (PBE, the Materials Project)

Cell and atoms:
```
UGaAu
1.0
5.115 -2.431 0.000
5.115 2.431 0.000
-3.244 0.000 4.764
U Ga Au
2 2 2
direct
0.002 0.002 0.264
0.998 0.998 0.736
0.339 0.339 0.842
0.661 0.661 0.158
0.326 0.326 0.324
0.674 0.674 0.676
```

Top 10 peaks for 2θ = 15–90°, sorted by position:
| d_spacing | intensity |
| --- | --- |
| 4.218 | 14 |
| 2.438 | 68 |
| 2.431 | 34 |
| 2.380 | 100 |
| 1.705 | 11 |
| 1.701 | 26 |
| 1.405 | 12 |
| 1.397 | 20 |
| 1.393 | 12 |
| 1.240 | 24 |

=====

Record 2
Calculated powder XRD pattern
Compound: TmSi2
Radiation: Cu Ka
Structure: a DFT-relaxed cell (PBE, the Materials Project)

Cell and atoms:
```
TmSi2
1.0
4.080 0.000 0.000
-2.040 3.533 0.000
0.000 0.000 3.858
Tm Si
1 2
direct
0.000 0.000 0.000
0.333 0.667 0.500
0.667 0.333 0.500
```

Top 10 peaks for 2θ = 15–90°, sorted by position:
| d_spacing | intensity |
| --- | --- |
| 3.858 | 14 |
| 3.533 | 55 |
| 2.606 | 100 |
| 2.040 | 32 |
| 1.803 | 11 |
| 1.693 | 14 |
| 1.606 | 23 |
| 1.402 | 19 |
| 1.262 | 21 |
| 1.208 | 9 |